Calculated powder diffraction line list
Compound: Ti8Mn2Nb
Radiation: a wavelength of 1.5418 Å
Structure: a GGA-PBE-relaxed structure
Lines closer than 0.1° are merged.

Top 10 peaks for 10 to 90 degrees two-theta, most intense first:
2θ = 40.33°, intensity 100; 2θ = 40.76°, intensity 100; 2θ = 39.63°, intensity 90; 2θ = 39.19°, intensity 37; 2θ = 33.65°, intensity 31; 2θ = 36.94°, intensity 29; 2θ = 41.20°, intensity 29; 2θ = 37.46°, intensity 27; 2θ = 38.55°, intensity 25; 2θ = 35.78°, intensity 24

Cell and atoms:
```
data_Ti8Mn2Nb
_cell_length_a 5.171
_cell_length_b 5.338
_cell_length_c 7.251
_cell_angle_alpha 86.20
_cell_angle_beta 83.51
_cell_angle_gamma 63.24
_space_group_name_H-M_alt 'P -1'
_space_group_IT_number 2
loop_
_space_group_symop_operation_xyz
'x,y,z'
'-x,-y,-z'
loop_
_atom_site_label
_atom_site_type_symbol
_atom_site_fract_x
_atom_site_fract_y
_atom_site_fract_z
Ti1 Ti 0.025 0.231 0.093
Ti2 Ti 0.304 0.387 0.548
Ti3 Ti 0.417 0.892 0.764
Ti4 Ti 0.473 0.685 0.124
Mn1 Mn 0.060 0.634 0.250
Nb1 Nb 0.000 0.000 0.500
```